This entry pairs a crystal structure of HoMgCuTe2Se with its calculated powder diffraction line list. Radiation: CuKα. Structure: a structure optimized by DFT (GGA-PBE).

Main lines, low angle first (2θ = 10–80°):
d_spacing, 2theta, I/Imax
6.838, 12.9, 32
3.649, 24.4, 20
3.168, 28.2, 41
3.026, 29.5, 45
2.913, 30.7, 19
2.634, 34.0, 100
2.496, 36.0, 18
2.087, 43.3, 25
2.023, 44.8, 23
1.914, 47.5, 17

Cell and atoms:
```
HoMgCuTe2Se
1.0
2.0234 -6.8384 0.0000
2.0234 6.8384 0.0000
0.0000 0.0000 10.7226
Ho Mg Cu Te Se
2 2 2 4 2
direct
0.0000 0.0000 0.0000
0.0000 0.0000 0.5000
0.2575 0.7425 0.7500
0.7425 0.2575 0.2500
0.4823 0.5177 0.2500
0.5177 0.4823 0.7500
0.3469 0.6531 0.0764
0.3469 0.6531 0.4236
0.6531 0.3469 0.5764
0.6531 0.3469 0.9236
0.0924 0.9076 0.2500
0.9076 0.0924 0.7500
```



This entry pairs a crystal structure of NdHoCu6 with its calculated powder diffraction line list. Radiation: CuKα. Structure: a structure optimized by DFT (GGA-PBE).

Main lines, low angle first (2θ = 10–80°):
d_spacing, 2theta, I/Imax
3.547, 25.1, 18
2.917, 30.7, 35
2.584, 34.7, 37
2.356, 38.2, 22
2.229, 40.5, 100
2.215, 40.7, 52
2.202, 41.0, 42
1.676, 54.8, 19
1.609, 57.3, 13
1.277, 74.3, 15

Cell and atoms:
```
NdHoCu6
1.0
4.4045 0.0000 0.0000
0.0000 5.9852 0.0000
0.0000 0.0000 5.1249
Nd Ho Cu
1 1 6
direct
0.0000 0.0000 0.0000
0.5000 0.5000 0.7518
0.0000 0.2746 0.5179
0.0000 0.5000 0.1055
0.0000 0.7254 0.5179
0.5000 0.0000 0.5848
0.5000 0.2846 0.2450
0.5000 0.7154 0.2450
```



This entry pairs a crystal structure of NdHoCu4 with its calculated powder diffraction line list. Radiation: CuKα. Structure: a structure optimized by DFT (GGA-PBE).

Main lines, low angle first (2θ = 10–80°):
d_spacing, 2theta, I/Imax
3.713, 24.0, 19
2.600, 34.5, 20
2.529, 35.5, 100
2.199, 41.0, 9
2.144, 42.2, 53
1.635, 56.3, 20
1.369, 68.6, 11
1.345, 69.9, 11
1.301, 72.6, 8
1.239, 77.0, 11

Cell and atoms:
```
NdHoCu4
1.0
4.2927 0.0000 0.0000
0.0000 6.9080 0.0000
0.0000 0.0000 7.4150
Nd Ho Cu
2 2 8
direct
0.0000 0.0000 0.0000
0.5000 0.5000 0.5000
0.0000 0.5000 0.9218
0.5000 0.0000 0.4218
0.0000 0.2018 0.6233
0.0000 0.2947 0.2935
0.0000 0.7053 0.2935
0.0000 0.7982 0.6233
0.5000 0.2053 0.7935
0.5000 0.2982 0.1233
0.5000 0.7018 0.1233
0.5000 0.7947 0.7935
```



This entry pairs a crystal structure of Nd3HoCu4 with its calculated powder diffraction line list. Radiation: CuKα. Structure: a structure optimized by DFT (GGA-PBE).

Main lines, low angle first (2θ = 10–80°):
d_spacing, 2theta, I/Imax
3.151, 28.3, 45
3.127, 28.5, 41
2.821, 31.7, 100
2.577, 34.8, 44
2.551, 35.2, 40
2.521, 35.6, 43
2.497, 36.0, 50
2.256, 40.0, 62
2.238, 40.3, 43
2.220, 40.6, 67

Cell and atoms:
```
Nd3HoCu4
1.0
5.4859 0.0000 0.0000
0.0000 4.5122 0.0000
-0.1105 0.0000 7.2285
Nd Ho Cu
3 1 4
direct
0.0000 0.0000 0.0000
0.2388 0.0000 0.4944
0.7362 0.5000 0.6362
0.5014 0.5000 0.1372
0.2491 0.5000 0.7908
0.4900 0.0000 0.8603
0.7366 0.0000 0.3433
0.9905 0.5000 0.2801
```



This entry pairs a crystal structure of NdHoCu2P4 with its calculated powder diffraction line list. Radiation: CuKα. Structure: a structure optimized by DFT (GGA-PBE).

Main lines, low angle first (2θ = 10–80°):
d_spacing, 2theta, I/Imax
3.508, 25.4, 71
2.987, 29.9, 12
2.473, 36.3, 42
2.466, 36.4, 20
2.337, 38.5, 100
1.876, 48.5, 30
1.746, 52.4, 16
1.655, 55.5, 17
1.494, 62.1, 34
1.278, 74.2, 11

Cell and atoms:
```
NdHoCu2P4
1.0
3.7528 0.0000 0.0000
0.0000 3.7528 0.0000
0.0000 0.0000 9.8648
Nd Ho Cu P
1 1 2 4
direct
0.0000 0.0000 0.0000
0.5000 0.5000 0.5353
0.0000 0.5000 0.2738
0.5000 0.0000 0.2738
0.0000 0.0000 0.4256
0.0000 0.5000 0.7614
0.5000 0.0000 0.7614
0.5000 0.5000 0.1243
```



This entry pairs a crystal structure of NdHoCuSi3 with its calculated powder diffraction line list. Radiation: CuKα. Structure: a structure optimized by DFT (GGA-PBE).

Main lines, low angle first (2θ = 10–80°):
d_spacing, 2theta, I/Imax
4.117, 21.6, 7
3.486, 25.6, 36
2.660, 33.7, 100
2.059, 44.0, 11
2.012, 45.0, 32
1.773, 51.6, 11
1.605, 57.4, 21
1.439, 64.8, 21
1.277, 74.3, 10
1.255, 75.8, 19

Cell and atoms:
```
NdHoCuSi3
1.0
0.0000 4.1172 6.9715
4.0247 0.0000 6.9715
4.0247 4.1172 0.0000
Nd Ho Cu Si
2 2 2 6
direct
0.2500 0.2500 0.2500
0.7500 0.7500 0.7500
0.2434 0.7566 0.2434
0.7566 0.2434 0.7566
0.3347 0.3347 0.6653
0.6653 0.6653 0.3347
0.1671 0.1671 0.8329
0.1722 0.6612 0.8278
0.3388 0.8278 0.6612
0.6612 0.1722 0.3388
0.8278 0.3388 0.1722
0.8329 0.8329 0.1671
```



This entry pairs a crystal structure of HoCuNi with its calculated powder diffraction line list. Radiation: CuKα. Structure: a structure optimized by DFT (GGA-PBE).

Main lines, low angle first (2θ = 10–80°):
d_spacing, 2theta, I/Imax
3.504, 25.4, 37
3.035, 29.4, 42
2.146, 42.1, 100
1.830, 49.8, 18
1.752, 52.2, 11
1.517, 61.1, 16
1.392, 67.2, 8
1.357, 69.2, 15
1.239, 77.0, 32

Cell and atoms:
```
HoCuNi
1.0
6.0695 0.0000 0.0000
0.0000 6.0695 0.0000
0.0000 0.0000 6.0695
Ho Cu Ni
4 4 4
direct
0.0000 0.0000 0.0000
0.0000 0.5000 0.5000
0.5000 0.0000 0.5000
0.5000 0.5000 0.0000
0.0000 0.0000 0.5000
0.0000 0.5000 0.0000
0.5000 0.0000 0.0000
0.5000 0.5000 0.5000
0.2500 0.2500 0.7500
0.2500 0.7500 0.2500
0.7500 0.2500 0.2500
0.7500 0.7500 0.7500
```



This entry pairs a crystal structure of PrHoCu2P4 with its calculated powder diffraction line list. Radiation: CuKα. Structure: a structure optimized by DFT (GGA-PBE).

Main lines, low angle first (2θ = 10–80°):
d_spacing, 2theta, I/Imax
3.518, 25.3, 71
2.996, 29.8, 12
2.479, 36.2, 62
2.344, 38.4, 100
1.882, 48.4, 30
1.752, 52.2, 16
1.659, 55.4, 17
1.499, 61.9, 34
1.402, 66.7, 11
1.282, 73.9, 11

Cell and atoms:
```
PrHoCu2P4
1.0
3.7635 0.0000 0.0000
0.0000 3.7635 0.0000
0.0000 0.0000 9.8996
Pr Ho Cu P
1 1 2 4
direct
0.0000 0.0000 0.0000
0.5000 0.5000 0.5350
0.0000 0.5000 0.2734
0.5000 0.0000 0.2734
0.0000 0.0000 0.4251
0.0000 0.5000 0.7600
0.5000 0.0000 0.7600
0.5000 0.5000 0.1252
```